For NiP2O7, the GGA+U geometry in the Materials Project gives the theoretical powder XRD pattern in this record (a wavelength of 1.5418 Å).

Principal peaks in the range 10° ≤ 2θ ≤ 90°, most intense first:
| 2theta | I_rel | index |
| --- | --- | --- |
| 28.5 | 100.0 | 1 1 1 |
| 17.3 | 89.0 | 1 1 0 |
| 29.5 | 79.7 | 0 2 1 |
| 30.0 | 77.1 | 2 0 -1 |
| 21.7 | 64.5 | 0 2 0 |
| 24.0 | 39.1 | 1 1 -1 |
| 42.6 | 25.8 | 1 3 1 |
| 43.3 | 24.7 | 3 1 -1 |
| 35.1 | 23.2 | 2 2 0 |
| 48.9 | 22.4 | 0 4 1 |

Atomic structure:
Unit cell a=6.7286 b=8.1766 c=4.6195 alpha=90.00 beta=102.61 gamma=90.00
Space group C2 (No. 5)
Symmetry-distinct sites (fractional):
Ni  0.0000  0.0000  0.0000 [2 per cell]
P  0.2020  0.3467  0.4125 [4 per cell]
O  0.0000  0.4162  0.5000 [2 per cell]
O  0.1355  0.8298  0.3007 [4 per cell]
O  0.1591  0.1810  0.2609 [4 per cell]
O  0.2443  0.9768  0.7972 [4 per cell]

For Mg6VCoO8, the GGA+U geometry in the Materials Project gives the theoretical powder XRD pattern in this record (a wavelength of 1.5418 Å).

Principal peaks in the range 10° ≤ 2θ ≤ 90°, most intense first:
| 2theta | I_rel | index |
| --- | --- | --- |
| 42.3 | 100.0 | 2 0 0 |
| 61.1 | 57.3 | 2 0 4 |
| 41.9 | 51.2 | 0 0 4 |
| 36.3 | 36.6 | 1 1 2 |
| 10.3 | 36.0 | 0 0 1 |
| 61.3 | 28.2 | 2 2 0 |
| 77.1 | 25.9 | 2 2 4 |
| 73.4 | 12.2 | 3 1 2 |
| 31.4 | 11.0 | 1 1 1 |
| 20.6 | 8.3 | 0 0 2 |

Atomic structure:
Unit cell a=4.2756 b=4.2756 c=8.6182 alpha=90.00 beta=90.00 gamma=90.00
Space group P4/mmm (No. 123)
Symmetry-distinct sites (fractional):
Mg  0.0000  0.0000  0.0000 [1 per cell]
Mg  0.0000  0.5000  0.2489 [4 per cell]
Mg  0.5000  0.5000  0.0000 [1 per cell]
V  0.0000  0.0000  0.5000 [1 per cell]
Co  0.5000  0.5000  0.5000 [1 per cell]
O  0.0000  0.0000  0.2469 [2 per cell]
O  0.0000  0.5000  0.0000 [2 per cell]
O  0.0000  0.5000  0.5000 [2 per cell]
O  0.5000  0.5000  0.2453 [2 per cell]